Starting from a structure optimized by DFT (GGA-PBE), the PXRD pattern of YAl4Ag8 was calculated for a wavelength of 1.5418 Å.
Kinematic intensities with the Lorentz-polarization factor, no thermal factor.

Main lines, sorted by position (10 to 90 degrees two-theta):
2θ/deg, I_rel
19.10, 96
27.15, 213
33.39, 621
38.77, 1000
43.55, 562
52.08, 108
59.70, 100
63.27, 164
66.78, 139
70.17, 332
83.15, 100
89.49, 106

Crystal structure
```
data_YAl4Ag8
_cell_length_a 9.290
_cell_length_b 9.290
_cell_length_c 5.369
_cell_angle_alpha 90.00
_cell_angle_beta 90.00
_cell_angle_gamma 90.00
_space_group_name_H-M_alt 'I 4/m m m'
_space_group_IT_number 139
_space_group_name_Hall '-I 4 2'
loop_
_atom_site_label
_atom_site_type_symbol
_atom_site_fract_x
_atom_site_fract_y
_atom_site_fract_z
Y1 Y 0.000 0.000 0.000
Al1 Al 0.250 0.250 0.250
Ag1 Ag 0.000 0.217 0.500
Ag2 Ag 0.000 0.342 0.000
```


Starting from a structure optimized by DFT (GGA-PBE), the PXRD pattern of RbGdTeS was calculated for a wavelength of 1.5418 Å.
Kinematic intensities with the Lorentz-polarization factor, no thermal factor.

Main lines, sorted by position (10 to 90 degrees two-theta):
2θ/deg, I_rel
10.80, 591
26.26, 980
29.00, 1000
32.47, 603
40.97, 527
41.96, 662
50.18, 168
51.81, 189
60.09, 169
62.61, 204
68.79, 173
75.98, 170

Crystal structure
```
data_RbGdTeS
_cell_length_a 4.3060
_cell_length_b 4.3060
_cell_length_c 16.3808
_cell_angle_alpha 90.00
_cell_angle_beta 90.00
_cell_angle_gamma 120.00
_space_group_name_H-M_alt 'P 63 m c'
_space_group_IT_number 186
_space_group_name_Hall 'P 6c -2c'
loop_
_atom_site_label
_atom_site_type_symbol
_atom_site_fract_x
_atom_site_fract_y
_atom_site_fract_z
Rb1 Rb 0.3333 0.6667 0.0000
Gd1 Gd 0.0000 0.0000 0.2727
Te1 Te 0.3333 0.6667 0.6592
S1 S 0.3333 0.6667 0.3563
```


Starting from a structure optimized by DFT (GGA-PBE), the PXRD pattern of Dy4AlSe was calculated for a wavelength of 1.5418 Å.
Kinematic intensities with the Lorentz-polarization factor, no thermal factor.

Main lines, sorted by position (10 to 90 degrees two-theta):
2θ/deg, I_rel
25.71, 1000
35.80, 842
37.53, 724
44.60, 232
52.84, 271
58.46, 210
60.85, 175
64.33, 153
65.47, 284
68.84, 115
75.86, 95
87.87, 161

Crystal structure
```
data_Dy4AlSe
_cell_length_a 5.0164
_cell_length_b 5.0164
_cell_length_c 22.9839
_cell_angle_alpha 90.00
_cell_angle_beta 90.00
_cell_angle_gamma 120.00
_space_group_name_H-M_alt 'R -3 m'
_space_group_IT_number 166
_space_group_name_Hall '-R 3 2"'
loop_
_atom_site_label
_atom_site_type_symbol
_atom_site_fract_x
_atom_site_fract_y
_atom_site_fract_z
Dy1 Dy 0.0000 0.0000 0.1263
Dy2 Dy 0.0000 0.0000 0.3707
Al1 Al 0.0000 0.0000 0.0000
Se1 Se 0.0000 0.0000 0.5000
```


Starting from a structure optimized by DFT (GGA-PBE), the PXRD pattern of Ho2Ga4CoIr was calculated for a wavelength of 1.5418 Å.
Kinematic intensities with the Lorentz-polarization factor, no thermal factor.

Main lines, sorted by position (10 to 90 degrees two-theta):
2θ/deg, I_rel
23.30, 229
25.73, 248
34.98, 1000
36.94, 998
38.15, 493
43.13, 160
43.54, 210
43.86, 381
45.94, 161
53.06, 200
59.51, 269
69.39, 208

Crystal structure
```
data_Ho2Ga4CoIr
_cell_length_a 6.926
_cell_length_b 4.128
_cell_length_c 10.037
_cell_angle_alpha 90.00
_cell_angle_beta 90.00
_cell_angle_gamma 90.00
_space_group_name_H-M_alt 'A m m 2'
_space_group_IT_number 38
loop_
_space_group_symop_operation_xyz
'x,y,z'
'-x,-y,z'
'-x,y,z'
'x,-y,z'
'x,y+1/2,z+1/2'
'-x,-y+1/2,z+1/2'
'-x,y+1/2,z+1/2'
'x,-y+1/2,z+1/2'
loop_
_atom_site_label
_atom_site_type_symbol
_atom_site_fract_x
_atom_site_fract_y
_atom_site_fract_z
Ho1 Ho 0.000 0.000 0.000
Ho2 Ho 0.500 0.000 0.142
Ga1 Ga 0.208 0.000 0.720
Ga2 Ga 0.312 0.000 0.430
Co1 Co 0.500 0.000 0.863
Ir1 Ir 0.000 0.000 0.285
```


Starting from a structure optimized by DFT (GGA-PBE), the PXRD pattern of Ba2HgTe2F2 was calculated for a wavelength of 1.5418 Å.
Kinematic intensities with the Lorentz-polarization factor, no thermal factor.

Main lines, sorted by position (10 to 90 degrees two-theta):
2θ/deg, I_rel
19.63, 178
21.66, 285
26.91, 1000
27.89, 144
29.39, 150
33.53, 558
34.00, 144
39.86, 422
42.17, 253
46.91, 229
48.75, 390
59.42, 183

Crystal structure
```
data_Ba2HgTe2F2
_cell_length_a 4.523
_cell_length_b 4.523
_cell_length_c 9.734
_cell_angle_alpha 90.00
_cell_angle_beta 90.00
_cell_angle_gamma 90.00
_space_group_name_H-M_alt 'P -4 m 2'
_space_group_IT_number 115
loop_
_space_group_symop_operation_xyz
'x,y,z'
'y,-x,-z'
'-x,-y,z'
'-y,x,-z'
'-x,y,z'
'-y,-x,-z'
'x,-y,z'
'y,x,-z'
loop_
_atom_site_label
_atom_site_type_symbol
_atom_site_fract_x
_atom_site_fract_y
_atom_site_fract_z
Ba1 Ba 0.000 0.500 0.150
Hg1 Hg 0.500 0.500 0.500
Te1 Te 0.000 0.500 0.681
F1 F 0.000 0.000 0.000
F2 F 0.500 0.500 0.000
```


Starting from a structure optimized by DFT (GGA-PBE), the PXRD pattern of ZrCl4 was calculated for a wavelength of 1.5418 Å.
Kinematic intensities with the Lorentz-polarization factor, no thermal factor.

Main lines, sorted by position (10 to 90 degrees two-theta):
2θ/deg, I_rel
11.91, 409
14.63, 869
18.91, 305
19.90, 1000
28.89, 354
31.64, 634
32.09, 333
35.82, 541
36.24, 288
47.07, 248
47.39, 323
49.99, 288

Crystal structure
```
data_ZrCl4
_cell_length_a 6.284
_cell_length_b 7.429
_cell_length_c 12.111
_cell_angle_alpha 90.00
_cell_angle_beta 90.00
_cell_angle_gamma 90.00
_space_group_name_H-M_alt 'P c a 21'
_space_group_IT_number 29
loop_
_space_group_symop_operation_xyz
'x,y,z'
'-x,-y,z+1/2'
'-x+1/2,y,z+1/2'
'x+1/2,-y,z'
loop_
_atom_site_label
_atom_site_type_symbol
_atom_site_fract_x
_atom_site_fract_y
_atom_site_fract_z
Zr1 Zr 0.077 0.166 0.000
Cl1 Cl 0.071 0.636 0.372
Cl2 Cl 0.094 0.110 0.387
Cl3 Cl 0.221 0.369 0.127
Cl4 Cl 0.248 0.893 0.615
```